Diffraction record for Tb6Pm2Tl. The XRD peak list is calculated, not measured: it uses a cell relaxed with PBE and Cu Kα X-rays.

Principal peaks in the range 2θ = 10–80°, most intense first:
d [Å]	2theta	I/Imax
2.874	31.11	100
2.941	30.39	59
2.668	33.59	40
2.451	36.66	34
1.502	61.74	28
2.856	31.32	25

Cell and atoms:
```
data_Tb6Pm2Tl
_chemical_formula_sum 'Tb12 Pm4 Tl2'
_cell_length_a 3.525
_cell_length_b 10.235
_cell_length_c 16.008
_cell_angle_alpha 90.00
_cell_angle_beta 90.00
_cell_angle_gamma 90.00
_symmetry_space_group_name_H-M 'I m m m'
_symmetry_Int_Tables_number 71
_symmetry_space_group_name_Hall '-I 2 2'
loop_
_atom_site_label
_atom_site_fract_x
_atom_site_fract_y
_atom_site_fract_z
Tb1 0.000 0.162 0.177
Tb2 0.000 0.196 0.500
Pm1 0.000 0.500 0.153
Tl1 0.000 0.000 0.000
```

Diffraction record for Tb15Dy2Tm2. The XRD peak list is calculated, not measured: it uses a cell relaxed with PBE and Cu Kα X-rays.

Principal peaks in the range 2θ = 10–80°, most intense first:
d [Å]	2theta	I/Imax
2.811	31.83	100
2.845	31.45	67
2.507	35.81	63
2.772	32.30	58
3.200	27.88	30
3.249	27.45	29

Cell and atoms:
```
data_Tb15Dy2Tm2
_chemical_formula_sum 'Tb45 Dy6 Tm6'
_cell_length_a 11.0861
_cell_length_b 11.0861
_cell_length_c 17.6574
_cell_angle_alpha 90.00
_cell_angle_beta 90.00
_cell_angle_gamma 120.00
_symmetry_space_group_name_H-M 'R -3 m'
_symmetry_Int_Tables_number 166
_symmetry_space_group_name_Hall '-R 3 2"'
loop_
_atom_site_label
_atom_site_fract_x
_atom_site_fract_y
_atom_site_fract_z
Tb1 0.0000 0.2972 0.0000
Tb2 0.0000 0.5000 0.5000
Tb3 0.0160 0.5080 0.1344
Dy1 0.0000 0.0000 0.3199
Tm1 0.0000 0.0000 0.0948
```

Diffraction record for Nd2Dy4Ho7. The XRD peak list is calculated, not measured: it uses a cell relaxed with PBE and Cu Kα X-rays.

Principal peaks in the range 2θ = 10–80°, most intense first:
d [Å]	2theta	I/Imax
2.757	32.47	100
2.953	30.27	48
2.503	35.88	32
1.748	52.34	30
1.462	63.66	27
3.336	26.72	20

Cell and atoms:
```
data_Nd2Dy4Ho7
_chemical_formula_sum 'Nd2 Dy4 Ho7'
_cell_length_a 6.0555
_cell_length_b 6.0555
_cell_length_c 13.3446
_cell_angle_alpha 90.00
_cell_angle_beta 90.00
_cell_angle_gamma 120.00
_symmetry_space_group_name_H-M 'P -3 1 m'
_symmetry_Int_Tables_number 162
_symmetry_space_group_name_Hall '-P 3 2'
loop_
_atom_site_label
_atom_site_fract_x
_atom_site_fract_y
_atom_site_fract_z
Nd1 0.3333 0.6667 0.0000
Dy1 0.0000 0.0000 0.3950
Dy2 0.3333 0.6667 0.5000
Ho1 0.0000 0.0000 0.0000
Ho2 0.0000 0.3519 0.2163
```

Diffraction record for Pu6TcRu3. The XRD peak list is calculated, not measured: it uses a cell relaxed with PBE and Cu Kα X-rays.

Principal peaks in the range 2θ = 10–80°, most intense first:
d [Å]	2theta	I/Imax
2.546	35.25	100
3.092	28.88	95
2.249	40.09	78
1.840	49.53	50
1.577	58.55	31
1.984	45.74	31

Cell and atoms:
```
data_Pu6TcRu3
_chemical_formula_sum 'Pu12 Tc2 Ru6'
_cell_length_a 6.3756
_cell_length_b 6.3756
_cell_length_c 12.6972
_cell_angle_alpha 90.00
_cell_angle_beta 90.00
_cell_angle_gamma 120.00
_symmetry_space_group_name_H-M 'P 63 2 2'
_symmetry_Int_Tables_number 182
_symmetry_space_group_name_Hall 'P 6c 2c'
loop_
_atom_site_label
_atom_site_fract_x
_atom_site_fract_y
_atom_site_fract_z
Pu1 0.0450 0.3451 0.3621
Tc1 0.3333 0.6667 0.7500
Ru1 0.0000 0.0000 0.0000
Ru2 0.3333 0.6667 0.5159
```

Diffraction record for Th2BeRh5. The XRD peak list is calculated, not measured: it uses a cell relaxed with PBE and Cu Kα X-rays.

Principal peaks in the range 2θ = 10–80°, most intense first:
d [Å]	2theta	I/Imax
2.332	38.60	100
2.381	37.78	81
2.457	36.58	77
2.544	35.28	77
2.175	41.51	70
1.324	71.20	47

Cell and atoms:
```
data_Th2BeRh5
_chemical_formula_sum 'Th8 Be4 Rh20'
_cell_length_a 7.266
_cell_length_b 5.974
_cell_length_c 13.052
_cell_angle_alpha 90.00
_cell_angle_beta 90.00
_cell_angle_gamma 90.00
_symmetry_space_group_name_H-M 'P n m a'
_symmetry_Int_Tables_number 62
loop_
_symmetry_equiv_pos_as_xyz
'x,y,z'
'-x,-y,-z'
'-x+1/2,-y,z+1/2'
'x+1/2,y,-z+1/2'
'x+1/2,-y+1/2,-z+1/2'
'-x+1/2,y+1/2,z+1/2'
'-x,y+1/2,-z'
'x,-y+1/2,z'
loop_
_atom_site_label
_atom_site_fract_x
_atom_site_fract_y
_atom_site_fract_z
Th1 0.008 0.250 0.194
Th2 0.169 0.750 0.423
Be1 0.188 0.750 0.064
Rh1 0.000 0.000 0.000
Rh2 0.001 0.750 0.201
Rh3 0.154 0.250 0.422
Rh4 0.156 0.505 0.643
```

Diffraction record for Rb3HfBr7. The XRD peak list is calculated, not measured: it uses a cell relaxed with PBE and Cu Kα X-rays.

Principal peaks in the range 2θ = 10–80°, most intense first:
d [Å]	2theta	I/Imax
7.049	12.56	100
4.285	20.73	95
2.696	33.23	82
2.852	31.37	77
6.669	13.28	65
2.529	35.50	63

Cell and atoms:
```
data_Rb3HfBr7
_chemical_formula_sum 'Rb6 Hf2 Br14'
_cell_length_a 11.454
_cell_length_b 10.868
_cell_length_c 8.618
_cell_angle_alpha 90.00
_cell_angle_beta 126.06
_cell_angle_gamma 90.00
_symmetry_space_group_name_H-M 'C 1 m 1'
_symmetry_Int_Tables_number 8
loop_
_symmetry_equiv_pos_as_xyz
'x,y,z'
'x,-y,z'
'x+1/2,y+1/2,z'
'x+1/2,-y+1/2,z'
loop_
_atom_site_label
_atom_site_fract_x
_atom_site_fract_y
_atom_site_fract_z
Rb1 0.000 0.000 0.000
Rb2 0.006 0.267 0.577
Hf1 0.049 0.500 0.131
Br1 0.120 0.262 0.272
Br2 0.205 0.500 0.000
Br3 0.324 0.500 0.512
Br4 0.359 0.153 0.829
Br5 0.379 0.000 0.243
```

Diffraction record for Pm2Y4Ho5. The XRD peak list is calculated, not measured: it uses a cell relaxed with PBE and Cu Kα X-rays.

Principal peaks in the range 2θ = 10–80°, most intense first:
d [Å]	2theta	I/Imax
2.771	32.31	100
2.757	32.48	100
2.896	30.87	60
3.040	29.38	37
2.964	30.16	35
7.728	11.45	30

Cell and atoms:
```
data_Pm2Y4Ho5
_chemical_formula_sum 'Pm2 Y4 Ho5'
_cell_length_a 3.674
_cell_length_b 9.239
_cell_length_c 10.902
_cell_angle_alpha 77.44
_cell_angle_beta 80.32
_cell_angle_gamma 90.00
_symmetry_space_group_name_H-M 'P -1'
_symmetry_Int_Tables_number 2
loop_
_symmetry_equiv_pos_as_xyz
'x,y,z'
'-x,-y,-z'
loop_
_atom_site_label
_atom_site_fract_x
_atom_site_fract_y
_atom_site_fract_z
Pm1 0.115 0.005 0.270
Y1 0.172 0.419 0.157
Y2 0.471 0.795 0.557
Ho1 0.000 0.500 0.500
Ho2 0.251 0.828 0.998
Ho3 0.382 0.305 0.737
```